This entry pairs a crystal structure of AgTe10Au4 with its theoretical powder X-ray diffraction pattern. Radiation: copper Kα. Structure: a PBE-relaxed structure.
Neutral-atom scattering factors, no anomalous dispersion.

Crystal structure
```
AgTe10Au4
1.0
3.671 -2.115 0.000
3.671 2.115 0.000
-0.044 0.000 25.919
Ag Te Au
1 10 4
Direct
0.000 0.000 0.000
0.318 0.318 0.857
0.320 0.320 0.060
0.323 0.323 0.258
0.323 0.323 0.458
0.323 0.323 0.657
0.677 0.677 0.343
0.677 0.677 0.542
0.677 0.677 0.742
0.680 0.680 0.940
0.682 0.682 0.143
0.000 0.000 0.400
0.000 0.000 0.600
0.002 0.002 0.201
0.998 0.998 0.799
```

Top 10 peaks for 2θ from 10° to 80°, low angle first:
17.1°, I = 95; 29.8°, I = 1000; 42.7°, I = 793; 52.9°, I = 72; 53.0°, I = 173; 62.0°, I = 131; 70.3°, I = 178; 70.4°, I = 58; 78.1°, I = 67; 78.3°, I = 168

---

This entry pairs a crystal structure of Ag3Te2Au with its theoretical powder X-ray diffraction pattern. Radiation: copper Kα. Structure: a PBE-relaxed structure.
Neutral-atom scattering factors, no anomalous dispersion.

Crystal structure
```
Ag3Te2Au
1.0
-5.255 5.255 5.255
5.255 -5.255 5.255
5.255 5.255 -5.255
Ag Te Au
12 8 4
Direct
0.140 0.750 0.890
0.140 0.890 0.250
0.250 0.140 0.890
0.250 0.610 0.360
0.360 0.250 0.610
0.360 0.610 0.750
0.610 0.360 0.250
0.610 0.750 0.360
0.750 0.360 0.610
0.750 0.890 0.140
0.890 0.140 0.750
0.890 0.250 0.140
0.000 0.543 0.500
0.000 0.957 0.500
0.500 0.000 0.543
0.500 0.000 0.957
0.543 0.500 0.000
0.543 0.543 0.543
0.957 0.500 0.000
0.957 0.957 0.957
0.000 0.250 0.500
0.250 0.250 0.250
0.250 0.500 0.000
0.500 0.000 0.250
```

Top 10 peaks for 2θ from 10° to 80°, low angle first:
11.9°, I = 306; 23.9°, I = 144; 29.4°, I = 152; 31.9°, I = 1000; 36.3°, I = 280; 38.3°, I = 286; 42.1°, I = 422; 43.9°, I = 405; 47.4°, I = 230; 70.6°, I = 279

---

This entry pairs a crystal structure of AgTe3Au with its theoretical powder X-ray diffraction pattern. Radiation: copper Kα. Structure: a PBE-relaxed structure.
Neutral-atom scattering factors, no anomalous dispersion.

Crystal structure
```
AgTe3Au
1.0
6.321 0.000 0.000
-2.694 7.238 0.000
-2.038 -2.314 7.300
Ag Te Au
2 6 2
Direct
0.028 0.413 0.148
0.972 0.587 0.852
0.272 0.373 0.890
0.303 0.972 0.054
0.324 0.566 0.517
0.676 0.434 0.483
0.697 0.028 0.946
0.728 0.627 0.110
0.393 0.828 0.334
0.607 0.172 0.666
```

Top 10 peaks for 2θ from 10° to 80°, low angle first:
15.8°, I = 771; 16.3°, I = 705; 20.2°, I = 444; 28.7°, I = 991; 29.8°, I = 498; 31.4°, I = 1000; 32.9°, I = 718; 46.2°, I = 446; 47.2°, I = 454; 49.2°, I = 423